[1]
The following is a calculated powder diffractogram of Mn2InSbPd4. It was derived from a structure optimized by DFT (GGA-PBE), using CuKα.

Main lines, sorted by position (10 to 90 degrees two-theta):
two_theta  intensity
23.92  6
27.69  1
39.56  100
46.76  3
57.18  16
62.86  1
71.74  25
71.84  8
85.13  5
85.24  5

Atomic structure:
```
Mn2InSbPd4
1.0
2.2794 1.3160 7.4323
-2.2794 1.3160 7.4323
0.0000 -2.6321 7.4323
Mn In Sb Pd
2 1 1 4
Cartesian
0.0000 0.0000 5.5435
0.0000 0.0000 16.7535
0.0000 0.0000 11.1485
0.0000 0.0000 0.0000
0.0000 0.0000 2.7793
0.0000 0.0000 8.3602
0.0000 0.0000 13.9368
0.0000 0.0000 19.5177
```

---

[2]
The following is a calculated powder diffractogram of Mn5In4SbPd10. It was derived from a structure optimized by DFT (GGA-PBE), using CuKα.

Main lines, sorted by position (10 to 90 degrees two-theta):
two_theta  intensity
23.99  6
27.78  2
39.69  100
46.91  3
57.38  16
63.08  1
64.92  1
72.02  33
77.15  1
85.51  10

Atomic structure:
```
Mn5In4SbPd10
1.0
2.2720 1.3118 18.5279
-2.2720 1.3118 18.5279
0.0000 -2.6235 18.5279
Mn In Sb Pd
5 4 1 10
Cartesian
0.0000 0.0000 0.0000
0.0000 0.0000 11.1375
0.0000 0.0000 22.2335
0.0000 0.0000 33.3503
0.0000 0.0000 44.4463
0.0000 0.0000 5.5521
0.0000 0.0000 16.6740
0.0000 0.0000 38.9097
0.0000 0.0000 50.0317
0.0000 0.0000 27.7919
0.0000 0.0000 2.7796
0.0000 0.0000 8.3389
0.0000 0.0000 13.8955
0.0000 0.0000 19.4537
0.0000 0.0000 25.0178
0.0000 0.0000 30.5660
0.0000 0.0000 36.1301
0.0000 0.0000 41.6883
0.0000 0.0000 47.2449
0.0000 0.0000 52.8042
```

---

[3]
The following is a calculated powder diffractogram of PrMnIn. It was derived from a structure optimized by DFT (GGA-PBE), using CuKα.

Main lines, sorted by position (10 to 90 degrees two-theta):
two_theta  intensity
21.20  14
31.88  100
37.15  59
48.14  9
49.75  28
62.33  25
63.69  26
66.98  10
86.65  10
87.87  11

Atomic structure:
```
PrMnIn
1.0
4.8398 0.0000 0.0000
-2.4199 4.1914 0.0000
0.0000 0.0000 3.7803
Pr Mn In
1 1 1
Cartesian
0.0000 0.0000 0.0000
0.0000 2.7943 1.8901
2.4199 1.3971 1.8901
```

---

[4]
The following is a calculated powder diffractogram of MnInRh2. It was derived from a structure optimized by DFT (GGA-PBE), using CuKα.

Main lines, sorted by position (10 to 90 degrees two-theta):
two_theta  intensity
31.68  9
40.35  52
40.47  100
58.39  17
58.73  7
60.56  3
73.45  32
73.68  15
87.23  5
87.53  10

Atomic structure:
```
MnInRh2
1.0
3.1609 0.0000 0.0000
0.0000 3.1609 0.0000
0.0000 0.0000 6.2880
Mn In Rh
1 1 2
Cartesian
0.0000 0.0000 0.0000
0.0000 0.0000 3.1440
1.5805 1.5805 1.4662
1.5805 1.5805 4.8218
```

---

[5]
The following is a calculated powder diffractogram of MnIn2S4. It was derived from a structure optimized by DFT (GGA-PBE), using CuKα.

Main lines, sorted by position (10 to 90 degrees two-theta):
two_theta  intensity
14.20  44
27.39  100
33.18  60
43.54  41
47.62  76
55.81  13
59.27  14
66.49  21
79.34  18
88.74  25

Atomic structure:
```
MnIn2S4
1.0
0.0000 5.4008 5.4008
5.4008 0.0000 5.4008
5.4008 5.4008 0.0000
Mn In S
2 4 8
Cartesian
1.3502 1.3502 1.3502
9.4513 9.4513 9.4513
5.4008 2.7004 2.7004
2.7004 5.4008 2.7004
2.7004 2.7004 5.4008
5.4008 5.4008 5.4008
2.7537 2.7537 2.7537
5.3475 5.3475 2.7537
5.3475 2.7537 5.3475
8.0479 5.4541 5.4541
2.7537 5.3475 5.3475
5.4541 8.0479 5.4541
5.4541 5.4541 8.0479
8.0479 8.0479 8.0479
```

---

[6]
The following is a calculated powder diffractogram of Mn4InSb3. It was derived from a structure optimized by DFT (GGA-PBE), using CuKα.

Main lines, sorted by position (10 to 90 degrees two-theta):
two_theta  intensity
29.91  100
40.94  52
44.60  47
54.63  18
55.28  17
62.14  14
73.09  15
79.66  13
82.18  7
83.26  14

Atomic structure:
```
Mn4InSb3
1.0
4.0634 0.0000 0.0000
-2.0317 3.5190 0.0000
0.0000 0.0000 11.3107
Mn In Sb
4 1 3
Cartesian
0.0000 0.0000 1.3924
0.0000 0.0000 4.1990
0.0000 0.0000 7.1116
0.0000 0.0000 9.9182
2.0317 1.1730 5.6553
0.0000 2.3460 2.8368
0.0000 2.3460 8.4739
2.0317 1.1730 0.0000
```